Entry 1:
The following is a computed powder X-ray diffraction pattern of CsDy4F13. It was derived from a DFT-relaxed cell (PBE, OQMD), using Cu Ka.
Kinematic intensities with the Lorentz-polarization factor, no thermal factor.

Top 10 peaks for 15 to 90 degrees two-theta, in order of falling intensity:
2θ = 27.2°, I = 100, hkl 2 1 1
2θ = 44.5°, I = 35, hkl 1 3 2
2θ = 55.0°, I = 27, hkl 5 0 1
2θ = 32.6°, I = 25, hkl 1 3 0
2θ = 50.8°, I = 22, hkl 2 1 3
2θ = 29.4°, I = 19, hkl 0 0 2
2θ = 46.8°, I = 16, hkl 4 2 0
2θ = 56.2°, I = 12, hkl 4 2 2
2θ = 71.5°, I = 11, hkl 3 4 3
2θ = 70.9°, I = 6, hkl 1 3 4

Structure:
```
data_CsDy4F13
_chemical_formula_sum 'Cs2 Dy8 F26'
_space_group_name_H-M_alt 'I -4'
_space_group_IT_number 82
_cell_length_a 8.687
_cell_length_b 8.687
_cell_length_c 6.079
_cell_angle_alpha 90.00
_cell_angle_beta 90.00
_cell_angle_gamma 90.00
loop_
_space_group_symop_operation_xyz
'x,y,z'
'y,-x,-z'
'-x,-y,z'
'-y,x,-z'
'x+1/2,y+1/2,z+1/2'
'y+1/2,-x+1/2,-z+1/2'
'-x+1/2,-y+1/2,z+1/2'
'-y+1/2,x+1/2,-z+1/2'
loop_
_atom_site_label
_atom_site_fract_x
_atom_site_fract_y
_atom_site_fract_z
Cs1 0.000 0.000 0.000
Dy1 0.069 0.307 0.492
F1 0.000 0.500 0.750
F2 0.046 0.350 0.109
F3 0.096 0.853 0.355
F4 0.141 0.752 0.732
```


Entry 2:
The following is a computed powder X-ray diffraction pattern of Np6Fe. It was derived from a DFT-relaxed cell (PBE, OQMD), using Cu Ka.
Kinematic intensities with the Lorentz-polarization factor, no thermal factor.

Top 10 peaks for 15 to 90 degrees two-theta, in order of falling intensity:
2θ = 37.3°, I = 100, hkl 3 2 1
2θ = 33.8°, I = 33, hkl 0 0 2
2θ = 62.8°, I = 23, hkl 3 2 3
2θ = 87.5°, I = 18, hkl 8 3 1
2θ = 67.6°, I = 15, hkl 6 0 2
2θ = 47.6°, I = 11, hkl 5 1 0
2θ = 56.7°, I = 10, hkl 6 0 0
2θ = 78.1°, I = 9, hkl 5 5 2
2θ = 59.6°, I = 8, hkl 5 1 2
2θ = 41.4°, I = 7, hkl 4 2 0

Structure:
```
data_Np6Fe
_chemical_formula_sum 'Np24 Fe4'
_space_group_name_H-M_alt 'I 4/m c m'
_space_group_IT_number 140
_space_group_name_Hall '-I 4 2c'
_cell_length_a 9.744
_cell_length_b 9.744
_cell_length_c 5.310
_cell_angle_alpha 90.00
_cell_angle_beta 90.00
_cell_angle_gamma 90.00
loop_
_atom_site_label
_atom_site_fract_x
_atom_site_fract_y
_atom_site_fract_z
Np1 0.094 0.406 0.000
Np2 0.095 0.227 0.500
Fe1 0.000 0.000 0.250
```


Entry 3:
The following is a computed powder X-ray diffraction pattern of ReH4AuSe4N. It was derived from a DFT-relaxed cell (PBE, OQMD), using Cu Ka.
Kinematic intensities with the Lorentz-polarization factor, no thermal factor.

Top 10 peaks for 15 to 90 degrees two-theta, in order of falling intensity:
2θ = 46.4°, I = 100, hkl 2 2 -1
2θ = 28.3°, I = 80, hkl 1 0 -1
2θ = 37.9°, I = 79, hkl 2 2 2
2θ = 34.6°, I = 51, hkl 2 2 1
2θ = 30.0°, I = 51, hkl 0 2 0
2θ = 21.1°, I = 47, hkl 0 1 1
2θ = 48.2°, I = 47, hkl 0 1 3
2θ = 33.6°, I = 39, hkl 0 1 2
2θ = 45.6°, I = 30, hkl 0 3 0
2θ = 43.7°, I = 29, hkl 2 1 -1

Structure:
```
data_ReH4AuSe4N
_chemical_formula_sum 'Re1 H4 Au1 Se4 N1'
_space_group_name_H-M_alt 'P 1'
_space_group_IT_number 1
_cell_length_a 5.753
_cell_length_b 6.620
_cell_length_c 6.620
_cell_angle_alpha 79.16
_cell_angle_beta 64.29
_cell_angle_gamma 64.30
loop_
_space_group_symop_operation_xyz
'x,y,z'
loop_
_atom_site_label
_atom_site_fract_x
_atom_site_fract_y
_atom_site_fract_z
Re1 0.000 0.000 0.000
H1 0.112 0.632 0.441
H2 0.183 0.370 0.561
H3 0.261 0.560 0.627
H4 0.445 0.439 0.366
Au1 0.500 0.000 0.000
Se1 0.012 0.072 0.331
Se2 0.415 0.928 0.669
Se3 0.657 0.331 0.928
Se4 0.916 0.669 0.072
N1 0.251 0.500 0.499
```


Entry 4:
The following is a computed powder X-ray diffraction pattern of Co2SnP3. It was derived from a DFT-relaxed cell (PBE, OQMD), using Cu Ka.
Kinematic intensities with the Lorentz-polarization factor, no thermal factor.

Top 10 peaks for 15 to 90 degrees two-theta, in order of falling intensity:
2θ = 45.5°, I = 100, hkl 2 0 0
2θ = 27.4°, I = 58, hkl 1 0 1
2θ = 84.2°, I = 30, hkl 3 1 2
2θ = 54.0°, I = 24, hkl 2 1 1
2θ = 35.6°, I = 19, hkl 1 1 1
2θ = 22.3°, I = 16, hkl 1 0 0
2θ = 39.1°, I = 12, hkl 1 0 2
2θ = 31.8°, I = 12, hkl 0 0 2
2θ = 66.4°, I = 11, hkl 2 2 0
2θ = 73.3°, I = 8, hkl 3 0 1

Structure:
```
data_Co2SnP3
_chemical_formula_sum 'Co2 Sn1 P3'
_space_group_name_H-M_alt 'P -4 m 2'
_space_group_IT_number 115
_cell_length_a 3.981
_cell_length_b 3.981
_cell_length_c 5.640
_cell_angle_alpha 90.00
_cell_angle_beta 90.00
_cell_angle_gamma 90.00
loop_
_space_group_symop_operation_xyz
'x,y,z'
'y,-x,-z'
'-x,-y,z'
'-y,x,-z'
'-x,y,z'
'-y,-x,-z'
'x,-y,z'
'y,x,-z'
loop_
_atom_site_label
_atom_site_fract_x
_atom_site_fract_y
_atom_site_fract_z
Co1 0.000 0.500 0.209
Sn1 0.000 0.000 0.500
P1 0.000 0.000 0.000
P2 0.500 0.500 0.000
P3 0.500 0.500 0.500
```


Entry 5:
The following is a computed powder X-ray diffraction pattern of Tl2Hg2PdBr8. It was derived from a DFT-relaxed cell (PBE, OQMD), using Cu Ka.
Kinematic intensities with the Lorentz-polarization factor, no thermal factor.

Top 10 peaks for 15 to 90 degrees two-theta, in order of falling intensity:
2θ = 28.9°, I = 100, hkl 1 1 -3
2θ = 32.0°, I = 69, hkl 2 2 -2
2θ = 18.4°, I = 68, hkl 1 1 1
2θ = 24.7°, I = 52, hkl 0 2 0
2θ = 31.5°, I = 47, hkl 4 0 0
2θ = 25.7°, I = 39, hkl 3 1 -1
2θ = 37.3°, I = 36, hkl 2 2 2
2θ = 32.2°, I = 33, hkl 2 2 1
2θ = 52.7°, I = 33, hkl 6 2 -2
2θ = 27.1°, I = 30, hkl 2 0 -3

Structure:
```
data_Tl2Hg2PdBr8
_chemical_formula_sum 'Tl4 Hg4 Pd2 Br16'
_space_group_name_H-M_alt 'C 1 2/m 1'
_space_group_IT_number 12
_cell_length_a 11.930
_cell_length_b 7.208
_cell_length_c 10.250
_cell_angle_alpha 90.00
_cell_angle_beta 107.62
_cell_angle_gamma 90.00
loop_
_space_group_symop_operation_xyz
'x,y,z'
'-x,-y,-z'
'-x,y,-z'
'x,-y,z'
'x+1/2,y+1/2,z'
'-x+1/2,-y+1/2,-z'
'-x+1/2,y+1/2,-z'
'x+1/2,-y+1/2,z'
loop_
_atom_site_label
_atom_site_fract_x
_atom_site_fract_y
_atom_site_fract_z
Tl1 0.103 0.000 0.341
Hg1 0.134 0.500 0.900
Pd1 0.000 0.500 0.500
Br1 0.085 0.500 0.196
Br2 0.138 0.260 0.628
Br3 0.148 0.000 0.998
```


Entry 6:
The following is a computed powder X-ray diffraction pattern of CdAg2P2S6. It was derived from a DFT-relaxed cell (PBE, OQMD), using Cu Ka.
Kinematic intensities with the Lorentz-polarization factor, no thermal factor.

Top 10 peaks for 15 to 90 degrees two-theta, in order of falling intensity:
2θ = 28.1°, I = 100, hkl 1 3 -1
2θ = 27.9°, I = 51, hkl 2 0 0
2θ = 26.1°, I = 50, hkl 0 0 4
2θ = 29.0°, I = 45, hkl 1 1 -4
2θ = 48.9°, I = 42, hkl 3 3 -1
2θ = 32.4°, I = 37, hkl 1 1 4
2θ = 40.1°, I = 31, hkl 2 2 3
2θ = 25.2°, I = 31, hkl 0 2 3
2θ = 32.9°, I = 26, hkl 1 3 -3
2θ = 43.5°, I = 26, hkl 2 2 -5

Structure:
```
data_CdAg2P2S6
_chemical_formula_sum 'Cd4 Ag8 P8 S24'
_space_group_name_H-M_alt 'C 1 2/c 1'
_space_group_IT_number 15
_cell_length_a 6.461
_cell_length_b 11.158
_cell_length_c 13.808
_cell_angle_alpha 90.00
_cell_angle_beta 98.15
_cell_angle_gamma 90.00
loop_
_space_group_symop_operation_xyz
'x,y,z'
'-x,-y,-z'
'-x,y,-z+1/2'
'x,-y,z+1/2'
'x+1/2,y+1/2,z'
'-x+1/2,-y+1/2,-z'
'-x+1/2,y+1/2,-z+1/2'
'x+1/2,-y+1/2,z+1/2'
loop_
_atom_site_label
_atom_site_fract_x
_atom_site_fract_y
_atom_site_fract_z
Cd1 0.000 0.075 0.250
Ag1 0.042 0.412 0.363
P1 0.030 0.256 0.834
S1 0.069 0.095 0.619
S2 0.137 0.394 0.618
S3 0.156 0.223 0.123
```


Q: Number 5 is which compound?
A: Tl2Hg2PdBr8


Please write out number 2 again, unchanged.
The following is a computed powder X-ray diffraction pattern of Np6Fe. It was derived from a DFT-relaxed cell (PBE, OQMD), using Cu Ka.
Kinematic intensities with the Lorentz-polarization factor, no thermal factor.

Top 10 peaks for 15 to 90 degrees two-theta, in order of falling intensity:
2θ = 37.3°, I = 100, hkl 3 2 1
2θ = 33.8°, I = 33, hkl 0 0 2
2θ = 62.8°, I = 23, hkl 3 2 3
2θ = 87.5°, I = 18, hkl 8 3 1
2θ = 67.6°, I = 15, hkl 6 0 2
2θ = 47.6°, I = 11, hkl 5 1 0
2θ = 56.7°, I = 10, hkl 6 0 0
2θ = 78.1°, I = 9, hkl 5 5 2
2θ = 59.6°, I = 8, hkl 5 1 2
2θ = 41.4°, I = 7, hkl 4 2 0

Structure:
```
data_Np6Fe
_chemical_formula_sum 'Np24 Fe4'
_space_group_name_H-M_alt 'I 4/m c m'
_space_group_IT_number 140
_space_group_name_Hall '-I 4 2c'
_cell_length_a 9.744
_cell_length_b 9.744
_cell_length_c 5.310
_cell_angle_alpha 90.00
_cell_angle_beta 90.00
_cell_angle_gamma 90.00
loop_
_atom_site_label
_atom_site_fract_x
_atom_site_fract_y
_atom_site_fract_z
Np1 0.094 0.406 0.000
Np2 0.095 0.227 0.500
Fe1 0.000 0.000 0.250
```